This entry pairs a crystal structure of Sb4Te7Au with its calculated PXRD pattern. Radiation: λ = 1.5418 Å (Cu Kα). Structure: a cell relaxed with PBE.

The 10 most intense peaks (15° ≤ 2θ ≤ 90°), most intense first:
2θ (°)	d_spacing	I_rel	h k l
28.23	3.161	100	1 0 4
41.88	2.157	47	1 1 0
38.77	2.323	25	0 1 8
51.27	1.782	19	0 2 4
68.27	1.374	16	2 1 4
45.28	2.003	14	0 1 10
32.98	2.716	12	1 0 6
70.70	1.333	10	1 1 14
74.40	1.275	9	1 2 8
76.49	1.245	8	3 0 0

Crystal structure
```
data_Sb4Te7Au
_space_group_name_H-M_alt 'P -3 m 1'
_space_group_IT_number 164
_space_group_name_Hall '-P 3 2"'
_cell_length_a 4.3146
_cell_length_b 4.3146
_cell_length_c 23.7213
_cell_angle_alpha 90.00
_cell_angle_beta 90.00
_cell_angle_gamma 120.00
loop_
_atom_site_label
_atom_site_type_symbol
_atom_site_fract_x
_atom_site_fract_y
_atom_site_fract_z
Sb1 Sb 0.3333 0.6667 0.1468
Sb2 Sb 0.3333 0.6667 0.4158
Te1 Te 0.0000 0.0000 0.2196
Te2 Te 0.0000 0.0000 0.5000
Te3 Te 0.3333 0.6667 0.6569
Te4 Te 0.3333 0.6667 0.9346
Au1 Au 0.0000 0.0000 0.0000
```

---

This entry pairs a crystal structure of Y8In2Co with its calculated PXRD pattern. Radiation: λ = 1.5418 Å (Cu Kα). Structure: a cell relaxed with PBE.

The 10 most intense peaks (15° ≤ 2θ ≤ 90°), most intense first:
2θ (°)	d_spacing	I_rel	h k l
33.24	2.696	100	1 1 3
37.67	2.388	48	2 0 0
65.22	1.430	37	3 1 3
29.61	3.017	31	1 1 2
51.19	1.784	22	2 0 5
33.36	2.686	19	0 0 5
61.71	1.503	16	1 1 8
54.34	1.688	16	2 2 0
86.74	1.123	13	3 1 8
27.25	3.272	11	1 1 1

Crystal structure
```
data_Y8In2Co
_space_group_name_H-M_alt 'P 4/m m m'
_space_group_IT_number 123
_space_group_name_Hall '-P 4 2'
_cell_length_a 4.775
_cell_length_b 4.775
_cell_length_c 13.428
_cell_angle_alpha 90.00
_cell_angle_beta 90.00
_cell_angle_gamma 90.00
loop_
_atom_site_label
_atom_site_type_symbol
_atom_site_fract_x
_atom_site_fract_y
_atom_site_fract_z
Y1 Y 0.000 0.000 0.186
Y2 Y 0.000 0.500 0.000
Y3 Y 0.000 0.500 0.379
In1 In 0.500 0.500 0.182
Co1 Co 0.500 0.500 0.500
```

---

This entry pairs a crystal structure of Ac6CdAu with its calculated PXRD pattern. Radiation: λ = 1.5418 Å (Cu Kα). Structure: a cell relaxed with PBE.

The 10 most intense peaks (15° ≤ 2θ ≤ 90°), most intense first:
2θ (°)	d_spacing	I_rel	h k l
29.01	3.078	100	1 1 4
31.69	2.824	48	2 0 0
54.80	1.675	35	3 1 4
45.42	1.997	18	2 2 0
49.68	1.835	13	2 0 8
42.59	2.123	10	2 0 6
24.12	3.690	10	1 1 2
52.63	1.739	9	1 1 10
75.25	1.263	8	4 2 0
27.71	3.220	8	0 0 6

Crystal structure
```
data_Ac6CdAu
_space_group_name_H-M_alt 'I 4/m m m'
_space_group_IT_number 139
_space_group_name_Hall '-I 4 2'
_cell_length_a 5.647
_cell_length_b 5.647
_cell_length_c 19.319
_cell_angle_alpha 90.00
_cell_angle_beta 90.00
_cell_angle_gamma 90.00
loop_
_atom_site_label
_atom_site_type_symbol
_atom_site_fract_x
_atom_site_fract_y
_atom_site_fract_z
Ac1 Ac 0.000 0.000 0.248
Ac2 Ac 0.000 0.500 0.103
Cd1 Cd 0.000 0.000 0.000
Au1 Au 0.000 0.000 0.500
```

---

This entry pairs a crystal structure of Ni7Ge4 with its calculated PXRD pattern. Radiation: λ = 1.5418 Å (Cu Kα). Structure: a cell relaxed with PBE.

The 10 most intense peaks (15° ≤ 2θ ≤ 90°), most intense first:
2θ (°)	d_spacing	I_rel	h k l
44.62	2.031	100	1 4 1
45.78	1.982	100	2 0 0
65.85	1.418	28	0 4 4
83.89	1.153	27	3 4 1
84.72	1.144	14	3 0 3
35.68	2.516	13	0 4 0
31.54	2.837	10	0 2 2
59.33	1.558	9	2 4 0
75.49	1.259	8	0 8 0
15.61	5.675	3	0 1 1

Crystal structure
```
data_Ni7Ge4
_space_group_name_H-M_alt 'I m m 2'
_space_group_IT_number 44
_space_group_name_Hall 'I 2 -2'
_cell_length_a 3.962
_cell_length_b 10.076
_cell_length_c 6.869
_cell_angle_alpha 90.00
_cell_angle_beta 90.00
_cell_angle_gamma 90.00
loop_
_atom_site_label
_atom_site_type_symbol
_atom_site_fract_x
_atom_site_fract_y
_atom_site_fract_z
Ni1 Ni 0.000 0.000 0.000
Ni2 Ni 0.000 0.124 0.663
Ni3 Ni 0.000 0.245 0.333
Ni4 Ni 0.000 0.378 0.672
Ge1 Ge 0.000 0.000 0.349
Ge2 Ge 0.000 0.249 0.999
Ge3 Ge 0.000 0.500 0.305
```

---

This entry pairs a crystal structure of NaTe4S8 with its calculated PXRD pattern. Radiation: λ = 1.5418 Å (Cu Kα). Structure: a cell relaxed with PBE.

The 10 most intense peaks (15° ≤ 2θ ≤ 90°), most intense first:
2θ (°)	d_spacing	I_rel	h k l
29.24	3.054	100	2 2 -2
36.66	2.451	69	2 2 -3
27.96	3.192	55	4 0 -1
26.22	3.399	46	2 2 -1
35.15	2.553	40	4 0 0
45.32	2.001	39	6 2 -3
46.75	1.943	36	0 4 0
36.04	2.492	34	2 2 1
45.93	1.976	33	2 2 2
46.65	1.947	27	4 0 -5

Crystal structure
```
data_NaTe4S8
_space_group_name_H-M_alt 'C 1 2/m 1'
_space_group_IT_number 12
_space_group_name_Hall '-C 2y'
_cell_length_a 14.013
_cell_length_b 7.775
_cell_length_c 9.876
_cell_angle_alpha 90.00
_cell_angle_beta 133.21
_cell_angle_gamma 90.00
loop_
_atom_site_label
_atom_site_type_symbol
_atom_site_fract_x
_atom_site_fract_y
_atom_site_fract_z
Na1 Na 0.000 0.000 0.000
Te1 Te 0.000 0.257 0.500
Te2 Te 0.247 0.500 0.505
S1 S 0.008 0.000 0.701
S2 S 0.022 0.500 0.704
S3 S 0.230 0.226 0.292
```